# Y3Si
Computed X-ray powder pattern, Cu Ka. Input: a structure optimized by DFT (GGA-PBE).
Intensities are scaled so that the largest is 100.

Largest 8 diffraction maxima, by intensity, 2θ = 10–90°:
| d [Å] | 2theta | I (rel.) | index |
| --- | --- | --- | --- |
| 2.815 | 31.78 | 100 | 0 1 2 |
| 2.543 | 35.29 | 75 | 1 1 0 |
| 2.672 | 33.53 | 63 | 1 0 2 |
| 3.442 | 25.88 | 33 | 0 1 1 |
| 1.889 | 48.18 | 33 | 1 1 3 |
| 1.540 | 60.09 | 28 | 1 2 2 |
| 1.470 | 63.26 | 26 | 2 1 2 |
| 3.192 | 27.95 | 24 | 1 0 1 |

Crystal structure
a = 3.447 Å, b = 3.767 Å, c = 8.462 Å
α = 90.00°, β = 90.00°, γ = 90.00°
Sites, in units of the cell vectors:
Y  0.000  0.000  0.000
Y  0.500  0.500  0.307
Y  0.500  0.500  0.693
Si  0.000  0.000  0.500